[1]
For NaBrO3, a structure optimized by DFT (PBE) gives the computed PXRD pattern in this record (copper Kα).
Neutral-atom scattering factors, no anomalous dispersion.

Top 10 peaks for 2θ from 10° to 90°, in order of falling intensity:
2θ (°)  intensity
29.31  100.0
50.09  48.9
18.41  40.6
32.18  34.7
22.60  32.5
26.16  24.6
70.46  20.3
62.46  14.4
39.68  13.6
75.07  12.2

Structural model:
abc: 6.814 6.814 6.814
angles: 90.00 90.00 90.00
Fractional positions:
Na (0.077, 0.077, 0.077)
Na (0.423, 0.923, 0.577)
Na (0.577, 0.423, 0.923)
Na (0.923, 0.577, 0.423)
Br (0.094, 0.594, 0.906)
Br (0.406, 0.406, 0.406)
Br (0.594, 0.906, 0.094)
Br (0.906, 0.094, 0.594)
O (0.008, 0.213, 0.401)
O (0.099, 0.992, 0.713)
O (0.213, 0.401, 0.008)
O (0.287, 0.599, 0.508)
O (0.401, 0.008, 0.213)
O (0.492, 0.787, 0.901)
O (0.508, 0.287, 0.599)
O (0.599, 0.508, 0.287)
O (0.713, 0.099, 0.992)
O (0.787, 0.901, 0.492)
O (0.901, 0.492, 0.787)
O (0.992, 0.713, 0.099)

***

[2]
For NaBrO3, a structure optimized by DFT (PBE) gives the computed PXRD pattern in this record (copper Kα).
Neutral-atom scattering factors, no anomalous dispersion.

Top 10 peaks for 2θ from 10° to 90°, in order of falling intensity:
2θ (°)  intensity
15.67  100.0
31.64  69.8
21.79  57.7
22.65  44.3
34.55  42.5
36.31  41.5
17.08  28.7
34.93  28.3
33.97  27.4
28.00  26.8

Structural model:
abc: 6.924 7.850 8.156
angles: 90.00 90.00 90.00
Fractional positions:
Na (0.230, 0.012, 0.262)
Na (0.270, 0.988, 0.762)
Na (0.730, 0.488, 0.738)
Na (0.770, 0.512, 0.238)
Br (0.069, 0.261, 0.997)
Br (0.431, 0.739, 0.497)
Br (0.569, 0.239, 0.003)
Br (0.931, 0.761, 0.503)
O (0.036, 0.767, 0.078)
O (0.051, 0.768, 0.925)
O (0.175, 0.892, 0.512)
O (0.325, 0.108, 0.012)
O (0.449, 0.232, 0.425)
O (0.464, 0.233, 0.578)
O (0.536, 0.733, 0.922)
O (0.551, 0.732, 0.075)
O (0.675, 0.608, 0.488)
O (0.825, 0.392, 0.988)
O (0.949, 0.268, 0.575)
O (0.964, 0.267, 0.422)

***

[3]
For NaBrO3, a structure optimized by DFT (PBE) gives the computed PXRD pattern in this record (copper Kα).
Neutral-atom scattering factors, no anomalous dispersion.

Top 10 peaks for 2θ from 10° to 90°, in order of falling intensity:
2θ (°)  intensity
21.39  100.0
24.74  42.5
41.62  30.3
35.27  20.1
39.60  17.5
27.72  16.0
47.26  11.4
67.64  9.5
58.80  9.1
57.25  8.9

Structural model:
abc: 7.197 7.197 7.197
angles: 90.00 90.00 90.00
Fractional positions:
Na (0.140, 0.360, 0.640)
Na (0.360, 0.640, 0.140)
Na (0.640, 0.140, 0.360)
Na (0.860, 0.860, 0.860)
Br (0.028, 0.972, 0.472)
Br (0.472, 0.028, 0.972)
Br (0.528, 0.528, 0.528)
Br (0.972, 0.472, 0.028)
O (0.015, 0.687, 0.112)
O (0.112, 0.015, 0.687)
O (0.187, 0.388, 0.985)
O (0.313, 0.612, 0.485)
O (0.388, 0.985, 0.187)
O (0.485, 0.313, 0.612)
O (0.515, 0.813, 0.888)
O (0.612, 0.485, 0.313)
O (0.687, 0.112, 0.015)
O (0.813, 0.888, 0.515)
O (0.888, 0.515, 0.813)
O (0.985, 0.187, 0.388)

***

[4]
For Na3Br2O2, a structure optimized by DFT (PBE) gives the computed PXRD pattern in this record (copper Kα).
Neutral-atom scattering factors, no anomalous dispersion.

Top 10 peaks for 2θ from 10° to 90°, in order of falling intensity:
2θ (°)  intensity
29.65  100.0
44.08  60.2
31.87  57.9
25.24  51.2
22.68  36.2
39.74  33.0
31.53  28.4
36.67  28.0
51.81  26.8
34.69  21.6

Structural model:
abc: 8.955 8.955 8.955
angles: 153.98 150.66 39.61
Fractional positions:
Na (0.000, 0.000, 0.000)
Na (0.351, 0.351, 0.000)
Na (0.649, 0.649, 0.000)
Br (0.167, 0.167, 0.000)
Br (0.833, 0.833, 0.000)
O (0.500, 0.169, 0.669)
O (0.500, 0.831, 0.331)

***

[5]
For NaOsBrO4, a structure optimized by DFT (PBE) gives the computed PXRD pattern in this record (copper Kα).
Neutral-atom scattering factors, no anomalous dispersion.

Top 10 peaks for 2θ from 10° to 90°, in order of falling intensity:
2θ (°)  intensity
21.12  100.0
23.70  91.0
27.50  88.2
22.93  73.6
16.80  60.1
14.91  42.3
32.73  41.9
22.25  36.8
41.67  36.8
33.21  34.5

Structural model:
abc: 6.572 6.572 8.616
angles: 110.95 110.95 69.68
Fractional positions:
Na (0.198, 0.198, 0.159)
Na (0.802, 0.802, 0.841)
Os (0.386, 0.386, 0.703)
Os (0.614, 0.614, 0.297)
Br (0.052, 0.052, 0.795)
Br (0.948, 0.948, 0.205)
O (0.132, 0.502, 0.755)
O (0.346, 0.346, 0.486)
O (0.437, 0.437, 0.172)
O (0.498, 0.868, 0.245)
O (0.502, 0.132, 0.755)
O (0.563, 0.563, 0.828)
O (0.654, 0.654, 0.514)
O (0.868, 0.498, 0.245)

***

[6]
For Rb2Na5Br3O2, a structure optimized by DFT (PBE) gives the computed PXRD pattern in this record (copper Kα).
Neutral-atom scattering factors, no anomalous dispersion.

Top 10 peaks for 2θ from 10° to 90°, in order of falling intensity:
2θ (°)  intensity
33.45  100.0
26.61  72.1
37.99  59.6
65.75  29.3
19.90  26.5
61.96  23.6
43.25  21.3
30.03  20.1
54.81  18.2
27.45  15.1

Structural model:
abc: 13.801 13.801 13.801
angles: 160.23 160.23 28.10
Fractional positions:
Rb (0.187, 0.187, 0.000)
Rb (0.813, 0.813, 0.000)
Na (0.000, 0.000, 0.000)
Na (0.085, 0.585, 0.500)
Na (0.415, 0.915, 0.500)
Na (0.585, 0.085, 0.500)
Na (0.915, 0.415, 0.500)
Br (0.326, 0.326, 0.000)
Br (0.500, 0.500, 0.000)
Br (0.674, 0.674, 0.000)
O (0.085, 0.085, 0.000)
O (0.915, 0.915, 0.000)

***

What did the fifth record say?
For NaOsBrO4, a structure optimized by DFT (PBE) gives the computed PXRD pattern in this record (copper Kα).
Neutral-atom scattering factors, no anomalous dispersion.

Top 10 peaks for 2θ from 10° to 90°, in order of falling intensity:
2θ (°)  intensity
21.12  100.0
23.70  91.0
27.50  88.2
22.93  73.6
16.80  60.1
14.91  42.3
32.73  41.9
22.25  36.8
41.67  36.8
33.21  34.5

Structural model:
abc: 6.572 6.572 8.616
angles: 110.95 110.95 69.68
Fractional positions:
Na (0.198, 0.198, 0.159)
Na (0.802, 0.802, 0.841)
Os (0.386, 0.386, 0.703)
Os (0.614, 0.614, 0.297)
Br (0.052, 0.052, 0.795)
Br (0.948, 0.948, 0.205)
O (0.132, 0.502, 0.755)
O (0.346, 0.346, 0.486)
O (0.437, 0.437, 0.172)
O (0.498, 0.868, 0.245)
O (0.502, 0.132, 0.755)
O (0.563, 0.563, 0.828)
O (0.654, 0.654, 0.514)
O (0.868, 0.498, 0.245)

***

Question: Number 3 is which compound?
Answer: NaBrO3